(1)
Starting from the GGA+U geometry in the Materials Project, the powder diffractogram of Li5Ni9O16 was simulated for Cu Kα.

Atomic structure:
Unit cell a=4.972 b=10.334 c=11.276 alpha=99.43 beta=99.89 gamma=102.61
Space group P-1 (No. 2)
Inequivalent atoms, fractional coordinates:
1 Li 0.034 0.376 0.032 x2
2 Li 0.178 0.880 0.159 x2
3 Li 0.221 0.628 0.220 x2
4 Li 0.285 0.366 0.286 x2
5 Li 0.463 0.623 0.476 x2
6 Ni 0.046 0.755 0.561 x2
7 Ni 0.097 0.121 0.094 x2
8 Ni 0.121 0.500 0.627 x2
9 Ni 0.194 0.257 0.693 x2
10 Ni 0.233 0.999 0.749 x2
11 Ni 0.304 0.746 0.811 x2
12 Ni 0.376 0.502 0.878 x2
13 Ni 0.419 0.883 0.411 x2
14 Ni 0.435 0.241 0.939 x2
15 O 0.006 0.807 0.740 x2
16 O 0.051 0.906 0.319 x2
17 O 0.080 0.568 0.804 x2
18 O 0.103 0.680 0.385 x2
19 O 0.132 0.323 0.855 x2
20 O 0.141 0.064 0.918 x2
21 O 0.192 0.442 0.452 x2
22 O 0.225 0.799 0.965 x2
23 O 0.284 0.211 0.544 x2
24 O 0.323 0.555 0.040 x2
25 O 0.333 0.935 0.577 x2
26 O 0.348 0.676 0.649 x2
27 O 0.389 0.316 0.114 x2
28 O 0.431 0.439 0.719 x2
29 O 0.458 0.087 0.183 x2
30 O 0.493 0.189 0.764 x2

Principal peaks in the range 2θ from 10° to 80°, in order of falling intensity:
(hkl)	Position (°2θ)	I/Imax
1 0 -1	18.75	100
-1 1 5	43.75	68
1 4 -1	44.08	66
2 -3 2	45.30	61
1 1 3	38.04	38
-1 4 1	38.33	36
2 3 -6	63.85	36
1 -2 7	64.80	36
1 1 -1	22.08	30
1 -1 1	21.20	21

(2)
Starting from the GGA+U geometry in the Materials Project, the powder diffractogram of CaTi2MnO6 was simulated for Cu Kα.

Atomic structure:
Unit cell a=7.599 b=7.599 c=7.711 alpha=90.00 beta=90.00 gamma=90.00
Space group P4_2mc (No. 105)
Inequivalent atoms, fractional coordinates:
1 Ca 0.000 0.000 0.000 x2
2 Ca 0.500 0.500 0.051 x2
3 Ti 0.245 0.257 0.284 x8
4 Mn 0.000 0.500 0.022 x2
5 Mn 0.000 0.500 0.577 x2
6 O 0.000 0.197 0.234 x4
7 O 0.000 0.297 0.827 x4
8 O 0.199 0.301 0.518 x8
9 O 0.210 0.500 0.204 x4
10 O 0.303 0.500 0.804 x4

Principal peaks in the range 2θ from 10° to 80°, in order of falling intensity:
(hkl)	Position (°2θ)	I/Imax
2 0 2	33.10	100
2 2 0	33.35	51
4 2 2	59.45	48
4 0 0	47.88	40
2 2 4	58.97	20
0 0 4	47.15	16
4 0 4	69.46	13
4 4 0	70.04	9
2 2 2	40.94	8
6 0 2	79.70	8

(3)
Starting from the GGA+U geometry in the Materials Project, the powder diffractogram of Sr9NdFe5Mo5O30 was simulated for Cu Kα.

Atomic structure:
Unit cell a=5.637 b=9.798 c=12.747 alpha=74.84 beta=77.28 gamma=73.31
Space group P1 (No. 1)
Inequivalent atoms, fractional coordinates:
1 Sr 0.000 0.000 0.000 x1
2 Sr 0.002 0.500 0.506 x1
3 Sr 0.196 0.907 0.707 x1
4 Sr 0.205 0.399 0.202 x1
5 Sr 0.401 0.803 0.405 x1
6 Sr 0.413 0.284 0.902 x1
7 Sr 0.598 0.713 0.099 x1
8 Sr 0.799 0.610 0.797 x1
9 Sr 0.803 0.098 0.303 x1
10 Nd 0.610 0.180 0.620 x1
11 Fe 0.002 0.249 0.753 x1
12 Fe 0.403 0.052 0.151 x1
13 Fe 0.600 0.448 0.354 x1
14 Fe 0.600 0.952 0.854 x1
15 Fe 0.803 0.850 0.555 x1
16 Mo 0.201 0.153 0.452 x1
17 Mo 0.204 0.651 0.951 x1
18 Mo 0.402 0.549 0.650 x1
19 Mo 0.804 0.348 0.054 x1
20 Mo 0.999 0.751 0.257 x1
21 O 0.053 0.475 0.011 x1
22 O 0.067 0.177 0.112 x1
23 O 0.100 0.203 0.602 x1
24 O 0.101 0.701 0.106 x1
25 O 0.136 0.726 0.595 x1
26 O 0.148 0.426 0.694 x1
27 O 0.234 0.874 0.216 x1
28 O 0.274 0.575 0.315 x1
29 O 0.296 0.103 0.303 x1
30 O 0.312 0.593 0.797 x1
31 O 0.335 0.126 0.789 x1
32 O 0.360 0.820 0.893 x1
33 O 0.455 0.987 0.510 x1
34 O 0.463 0.274 0.419 x1
35 O 0.496 0.000 0.004 x1
36 O 0.506 0.502 0.506 x1
37 O 0.536 0.525 0.996 x1
38 O 0.556 0.225 0.097 x1
39 O 0.649 0.677 0.610 x1
40 O 0.666 0.366 0.704 x1
41 O 0.695 0.915 0.697 x1
42 O 0.705 0.399 0.200 x1
43 O 0.727 0.920 0.199 x1
44 O 0.768 0.623 0.299 x1
45 O 0.840 0.083 0.807 x1
46 O 0.876 0.775 0.907 x1
47 O 0.896 0.303 0.908 x1
48 O 0.897 0.805 0.405 x1
49 O 0.938 0.035 0.498 x1
50 O 0.947 0.323 0.393 x1

Principal peaks in the range 2θ from 10° to 80°, in order of falling intensity:
(hkl)	Position (°2θ)	I/Imax
-1 2 2	31.53	100
2 1 1	31.70	54
2 4 0	45.45	33
3 4 4	56.41	21
1 6 2	56.31	20
0 2 6	44.93	18
-2 1 5	56.05	15
-2 4 4	65.80	15
2 7 -1	75.20	11
2 0 -2	38.92	6

(4)
Starting from the GGA+U geometry in the Materials Project, the powder diffractogram of MgV2Bi2O8 was simulated for Cu Kα.

Atomic structure:
Unit cell a=6.617 b=10.809 c=6.421 alpha=90.00 beta=120.93 gamma=90.00
Space group C2 (No. 5)
Inequivalent atoms, fractional coordinates:
1 Mg 0.000 0.000 0.000 x2
2 V 0.000 0.009 0.500 x2
3 V 0.000 0.737 0.000 x2
4 Bi 0.000 0.306 0.000 x2
5 Bi 0.000 0.524 0.500 x2
6 O 0.081 0.088 0.301 x4
7 O 0.085 0.659 0.813 x4
8 O 0.220 0.432 0.307 x4
9 O 0.238 0.862 0.132 x4

Principal peaks in the range 2θ from 10° to 80°, in order of falling intensity:
(hkl)	Position (°2θ)	I/Imax
0 2 1	23.06	100
1 1 0	17.66	63
2 0 0	31.55	47
2 2 -1	31.71	35
2 2 -3	46.05	31
2 4 0	46.41	29
1 3 -1	29.37	28
1 3 1	37.51	25
0 0 2	32.51	18
4 2 -3	60.94	16

(5)
Starting from the GGA+U geometry in the Materials Project, the powder diffractogram of Fe3C7O19 was simulated for Cu Kα.

Atomic structure:
Unit cell a=7.865 b=10.551 c=13.826 alpha=81.06 beta=78.80 gamma=82.65
Space group P-1 (No. 2)
Inequivalent atoms, fractional coordinates:
1 Fe 0.044 0.194 0.180 x2
2 Fe 0.061 0.493 0.784 x2
3 Fe 0.144 0.302 0.378 x2
4 C 0.144 0.920 0.584 x2
5 C 0.181 0.537 0.553 x2
6 C 0.302 0.677 0.838 x2
7 C 0.304 0.359 0.041 x2
8 C 0.367 0.229 0.576 x2
9 C 0.395 0.525 0.288 x2
10 C 0.437 0.089 0.281 x2
11 O 0.012 0.650 0.105 x2
12 O 0.036 0.876 0.555 x2
13 O 0.061 0.617 0.525 x2
14 O 0.080 0.907 0.252 x2
15 O 0.086 0.338 0.246 x2
16 O 0.129 0.302 0.831 x2
17 O 0.135 0.024 0.241 x2
18 O 0.207 0.781 0.845 x2
19 O 0.209 0.478 0.634 x2
20 O 0.247 0.240 0.534 x2
21 O 0.255 0.961 0.612 x2
22 O 0.277 0.249 0.051 x2
23 O 0.279 0.567 0.825 x2
24 O 0.328 0.467 0.032 x2
25 O 0.371 0.141 0.351 x2
26 O 0.377 0.431 0.346 x2
27 O 0.409 0.619 0.231 x2
28 O 0.487 0.214 0.616 x2
29 O 0.488 0.961 0.787 x2

Principal peaks in the range 2θ from 10° to 80°, in order of falling intensity:
(hkl)	Position (°2θ)	I/Imax
0 1 1	10.05	100
1 0 0	11.51	96
1 1 0	13.65	48
0 0 2	13.17	38
2 2 2	27.57	32
1 1 -1	16.50	29
-1 2 3	29.35	22
1 0 -3	24.73	19
1 -1 3	24.22	19
-1 1 2	20.64	18

(6)
Starting from the GGA+U geometry in the Materials Project, the powder diffractogram of Mn3CoO8 was simulated for Cu Kα.

Atomic structure:
Unit cell a=5.7687 b=5.7687 c=8.6403 alpha=90.00 beta=90.00 gamma=120.00
Space group P6_3mc (No. 186)
Inequivalent atoms, fractional coordinates:
1 Mn 0.1678 0.3357 0.0000 x6
2 Co 0.3333 0.6667 0.2775 x2
3 O 0.0000 0.0000 0.1068 x2
4 O 0.0461 0.5231 0.1341 x6
5 O 0.1702 0.3403 0.3900 x6
6 O 0.3333 0.6667 0.8890 x2

Principal peaks in the range 2θ from 10° to 80°, in order of falling intensity:
(hkl)	Position (°2θ)	I/Imax
0 0 2	20.54	100
2 0 1	37.49	60
2 0 3	48.23	33
2 0 0	35.98	27
2 0 2	41.78	27
2 2 0	64.63	23
1 0 2	27.29	23
2 0 5	65.70	23
2 0 4	56.31	13
2 1 3	58.44	12

(7)
Starting from the GGA+U geometry in the Materials Project, the powder diffractogram of Li2Co3TeO8 was simulated for Cu Kα.

Atomic structure:
Unit cell a=5.8216 b=5.8216 c=14.5972 alpha=90.00 beta=90.00 gamma=120.00
Space group R-3m (No. 166, hexagonal axes)
Inequivalent atoms, fractional coordinates:
1 Li 0.0000 0.0000 0.1328 x6
2 Co 0.0000 0.5000 0.0000 x9
3 Te 0.0000 0.0000 0.5000 x3
4 O 0.0000 0.0000 0.2686 x6
5 O 0.0305 0.5152 0.2519 x18

Principal peaks in the range 2θ from 10° to 80°, in order of falling intensity:
(hkl)	Position (°2θ)	I/Imax
1 0 1	18.62	100
0 2 4	43.64	48
1 1 3	35.95	33
0 1 5	35.53	19
2 0 8	62.88	15
2 2 0	63.97	15
2 0 2	37.75	14
1 2 5	57.78	12
2 1 1	48.16	11
0 3 3	58.07	8

(8)
Starting from the GGA+U geometry in the Materials Project, the powder diffractogram of Gd2MnGe4O12 was simulated for Cu Kα.

Atomic structure:
Unit cell a=14.207 b=14.377 c=5.056 alpha=90.00 beta=90.00 gamma=90.00
Space group Cmme (No. 67)
Inequivalent atoms, fractional coordinates:
1 Gd 0.250 0.000 0.000 x4
2 Gd 0.250 0.250 0.000 x4
3 Mn 0.000 0.000 0.000 x4
4 Ge 0.111 0.135 0.494 x16
5 O 0.000 0.131 0.668 x8
6 O 0.114 0.054 0.238 x16
7 O 0.122 0.250 0.333 x8
8 O 0.195 0.133 0.748 x16

Principal peaks in the range 2θ from 10° to 80°, in order of falling intensity:
(hkl)	Position (°2θ)	I/Imax
0 4 1	30.52	100
4 0 1	30.76	93
4 4 0	35.53	65
2 0 1	21.56	64
4 4 2	51.11	51
2 0 0	12.46	40
4 8 1	60.58	24
2 4 0	27.82	23
8 4 1	61.01	22
6 4 1	49.50	18